Simulated powder XRD pattern of InHg3 for Cu Ka, from a crystal structure in Alexandria, relaxed with PBE.

Principal peaks in the range 2θ = 10–80°, sorted by position:
- 2θ 30.4, I = 100
- 2θ 31.6, I = 45
- 2θ 37.9, I = 56
- 2θ 38.8, I = 52
- 2θ 50.2, I = 25
- 2θ 50.6, I = 24
- 2θ 60.2, I = 15
- 2θ 60.8, I = 14
- 2θ 61.1, I = 14
- 2θ 70.1, I = 18

Structure:
Cell lengths 3.804, 5.094, 11.322 Å; angles 90.00, 90.00, 90.00 degrees
Space group C222 (No. 21)
Symmetry-distinct sites (fractional):
In (0.000, 0.000, 0.000) x2
Hg (0.000, 0.500, 0.500) x2
Hg (0.250, 0.250, 0.748) x4



Simulated powder XRD pattern of In3Hg5 for Cu Ka, from a crystal structure in Alexandria, relaxed with PBE.

Principal peaks in the range 2θ = 10–80°, sorted by position:
- 2θ 28.2, I = 11
- 2θ 30.6, I = 73
- 2θ 33.8, I = 100
- 2θ 34.8, I = 76
- 2θ 43.0, I = 15
- 2θ 50.0, I = 20
- 2θ 53.6, I = 27
- 2θ 54.4, I = 17
- 2θ 55.8, I = 13
- 2θ 67.4, I = 23

Structure:
Cell lengths 8.9215, 8.9215, 6.3306 Å; angles 90.00, 90.00, 120.00 degrees
Space group P6_3/mcm (No. 193)
Symmetry-distinct sites (fractional):
In (0.0000, 0.4023, 0.2500) x6
Hg (0.0000, 0.2173, 0.7500) x6
Hg (0.3333, 0.6667, 0.0000) x4



Simulated powder XRD pattern of In2Hg13 for Cu Ka, from a crystal structure in Alexandria, relaxed with PBE.

Principal peaks in the range 2θ = 10–80°, sorted by position:
- 2θ 32.1, I = 100
- 2θ 32.9, I = 51
- 2θ 33.1, I = 25
- 2θ 33.8, I = 38
- 2θ 42.0, I = 18
- 2θ 43.8, I = 20
- 2θ 45.6, I = 52
- 2θ 62.5, I = 17
- 2θ 63.5, I = 31
- 2θ 68.0, I = 17

Structure:
Cell lengths 8.6038, 8.6038, 19.8955 Å; angles 90.00, 90.00, 120.00 degrees
Space group R-3m (No. 166, hexagonal axes)
Symmetry-distinct sites (fractional):
In (0.0000, 0.0000, 0.1537) x6
Hg (0.0000, 0.0000, 0.0000) x3
Hg (0.0780, 0.5390, 0.3892) x18
Hg (0.0821, 0.5411, 0.2319) x18



Simulated powder XRD pattern of In7Hg3 for Cu Ka, from a crystal structure in Alexandria, relaxed with PBE.

Principal peaks in the range 2θ = 10–80°, sorted by position:
- 2θ 31.0, I = 100
- 2θ 31.5, I = 97
- 2θ 32.6, I = 90
- 2θ 34.9, I = 74
- 2θ 36.6, I = 65
- 2θ 39.1, I = 54
- 2θ 40.7, I = 48
- 2θ 49.9, I = 26
- 2θ 50.2, I = 26
- 2θ 56.5, I = 36

Structure:
Cell lengths 5.609, 7.188, 7.392 Å; angles 74.97, 79.20, 69.43 degrees
Space group P-1 (No. 2)
Symmetry-distinct sites (fractional):
In (0.000, 0.000, 0.000) x1
In (0.200, 0.598, 0.792) x2
In (0.392, 0.207, 0.590) x2
In (0.399, 0.196, 0.105) x2
Hg (0.000, 0.000, 0.500) x1
Hg (0.204, 0.604, 0.293) x2